[1]
Starting from a crystal structure in Alexandria, relaxed with PBE, the powder XRD pattern of Pm5Nd2Tm was calculated for Cu Kα, 1.54184 Å.

Structural model:
a b c (Å): 11.799 6.187 15.998
angles (deg): 90.00 110.76 90.00
Space group P2_1/c (No. 14)
Unique sites:
Pm  0.062  0.028  0.119 [4 per cell]
Pm  0.192  0.110  0.378 [4 per cell]
Pm  0.249  0.624  0.499 [4 per cell]
Pm  0.309  0.108  0.624 [4 per cell]
Pm  0.373  0.570  0.754 [4 per cell]
Nd  0.124  0.568  0.245 [4 per cell]
Nd  0.440  0.027  0.880 [4 per cell]
Tm  0.000  0.000  0.500 [2 per cell]
Tm  0.500  0.000  0.500 [2 per cell]

Principal peaks in the range 2θ = 10–90°, by angle:
2θ (°)  I (rel.)  (hkl)
26.54  22  1 1 -4
28.86  28  0 2 0
30.02  38  1 2 -1
30.30  72  4 0 -2
31.63  100  2 1 3
31.99  97  2 1 -5
37.07  23  3 2 -1
42.34  20  4 2 -2
54.46  29  6 1 1
55.14  20  6 1 -7

---

[2]
Starting from a crystal structure in Alexandria, relaxed with PBE, the powder XRD pattern of PmNd2Tm4 was calculated for Cu Kα, 1.54184 Å.

Structural model:
a b c (Å): 9.751 9.751 9.755
angles (deg): 90.00 90.00 90.00
Space group I-42d (No. 122)
Unique sites:
Pm  0.000  0.000  0.000 [4 per cell]
Nd  0.125  0.250  0.625 [8 per cell]
Tm  0.082  0.168  0.293 [16 per cell]

Principal peaks in the range 2θ = 10–90°, by angle:
2θ (°)  I (rel.)  (hkl)
28.95  100  3 0 1
34.41  90  3 1 2
41.41  13  2 0 4
45.57  23  4 2 2
47.54  16  4 3 1
58.33  30  6 1 1
60.00  12  6 2 0
61.64  18  5 1 4
71.03  12  5 5 2
85.69  11  7 4 3

---

[3]
Starting from a crystal structure in Alexandria, relaxed with PBE, the powder XRD pattern of Pm3Nd7Tm was calculated for Cu Kα, 1.54184 Å.

Structural model:
a b c (Å): 7.119 11.285 10.291
angles (deg): 90.00 109.74 90.00
Space group P2_1/m (No. 11)
Unique sites:
Pm  0.000  0.000  0.000 [2 per cell]
Pm  0.246  0.250  0.474 [2 per cell]
Pm  0.273  0.750  0.515 [2 per cell]
Nd  0.094  0.045  0.683 [4 per cell]
Nd  0.169  0.750  0.823 [2 per cell]
Nd  0.302  0.250  0.101 [2 per cell]
Nd  0.356  0.750  0.170 [2 per cell]
Nd  0.416  0.010  0.327 [4 per cell]
Tm  0.500  0.000  0.000 [2 per cell]

Principal peaks in the range 2θ = 10–90°, by angle:
2θ (°)  I (rel.)  (hkl)
31.05  90  2 0 1
31.18  63  2 2 -2
31.32  28  2 0 -3
31.72  52  0 4 0
31.94  100  0 2 3
44.98  18  2 4 1
45.15  24  2 4 -3
56.12  18  2 6 -2
56.66  22  0 6 3
61.57  29  4 4 -2